Record 1
Simulated X-ray diffraction stick pattern
Compound: Mn12O5F19
Radiation: Cu Kα (weighted mean of Kα1 and Kα2)
Structure: a cell relaxed with GGA+U
Intensities are scaled so that the largest is 100.

Main lines, sorted by position (2θ from 10° to 90°):
d (Å)  I_rel
3.757  49
3.688  48
3.072  100
3.044  47
3.025  50
2.284  21
1.792  24
1.784  24
1.772  37
1.607  20

Atomic structure:
Cell: 4.816 5.868 16.010 Å, 90.28 90.25 91.07°
Positions (direct):
Mn1 0.000 0.000 0.000
Mn2 0.001 0.286 0.173
Mn3 0.003 0.297 0.498
Mn4 0.006 0.290 0.833
Mn5 0.483 0.477 0.673
Mn6 0.484 0.814 0.176
Mn7 0.495 0.795 0.836
Mn8 0.504 0.505 0.336
Mn9 0.526 0.804 0.515
Mn10 0.547 0.456 0.999
Mn11 0.982 0.987 0.669
Mn12 0.998 0.963 0.326
O1 0.196 0.252 0.724
O2 0.203 0.015 0.223
O3 0.703 0.769 0.280
O4 0.721 0.757 0.623
O5 0.808 0.247 0.938
F1 0.218 0.023 0.560
F2 0.233 0.248 0.385
F3 0.240 0.753 0.728
F4 0.241 0.264 0.060
F5 0.244 0.030 0.891
F6 0.251 0.526 0.229
F7 0.270 0.756 0.404
F8 0.270 0.776 0.061
F9 0.271 0.522 0.892
F10 0.272 0.523 0.560
F11 0.719 0.515 0.783
F12 0.723 0.538 0.120
F13 0.727 0.529 0.449
F14 0.742 0.749 0.947
F15 0.743 0.242 0.608
F16 0.749 0.043 0.107
F17 0.757 0.264 0.281
F18 0.761 0.025 0.779
F19 0.783 0.014 0.438

=====

Record 2
Simulated X-ray diffraction stick pattern
Compound: Mn6OF11
Radiation: Cu Kα (weighted mean of Kα1 and Kα2)
Structure: a cell relaxed with GGA+U
Intensities are scaled so that the largest is 100.

Main lines, sorted by position (2θ from 10° to 90°):
d (Å)  I_rel
3.799  78
3.118  100
3.098  90
2.373  21
2.306  19
2.290  20
1.831  28
1.827  46
1.796  31
1.788  33

Atomic structure:
Cell: 4.958 5.912 16.216 Å, 90.60 90.02 90.05°
Positions (direct):
Mn1 0.000 0.000 0.000
Mn2 0.000 0.309 0.494
Mn3 0.022 0.355 0.160
Mn4 0.465 0.857 0.491
Mn5 0.480 0.501 0.005
Mn6 0.487 0.498 0.332
Mn7 0.490 0.813 0.164
Mn8 0.494 0.830 0.832
Mn9 0.506 0.499 0.659
Mn10 0.993 0.338 0.833
Mn11 0.996 0.002 0.332
Mn12 0.997 0.998 0.665
O1 0.194 0.077 0.443
O2 0.288 0.581 0.115
F1 0.212 0.279 0.274
F2 0.216 0.279 0.604
F3 0.224 0.060 0.774
F4 0.227 0.272 0.942
F5 0.240 0.062 0.111
F6 0.253 0.557 0.443
F7 0.258 0.772 0.940
F8 0.268 0.556 0.771
F9 0.273 0.781 0.274
F10 0.281 0.778 0.607
F11 0.706 0.783 0.387
F12 0.715 0.555 0.894
F13 0.724 0.789 0.059
F14 0.728 0.553 0.224
F15 0.729 0.769 0.721
F16 0.747 0.537 0.547
F17 0.752 0.033 0.220
F18 0.757 0.059 0.555
F19 0.760 0.284 0.390
F20 0.766 0.275 0.721
F21 0.770 0.056 0.888
F22 0.784 0.285 0.056

=====

Record 3
Simulated X-ray diffraction stick pattern
Compound: MnO3F
Radiation: Cu Kα (weighted mean of Kα1 and Kα2)
Structure: a cell relaxed with GGA+U
Intensities are scaled so that the largest is 100.

Main lines, sorted by position (2θ from 10° to 90°):
d (Å)  I_rel
4.376  44
4.025  100
3.996  36
3.370  40
2.676  11
2.609  20
2.597  13
2.497  9
1.619  8
1.594  8

Atomic structure:
Cell: 5.456 5.456 9.013 Å, 114.71 114.71 50.52°
Positions (direct):
Mn1 0.233 0.767 0.500
Mn2 0.767 0.233 0.000
O1 0.067 0.141 0.155
O2 0.141 0.067 0.655
O3 0.535 0.673 0.452
O4 0.673 0.535 0.952
O5 0.857 0.931 0.846
O6 0.931 0.857 0.346
F1 0.332 0.441 0.553
F2 0.441 0.332 0.053

=====

Record 4
Simulated X-ray diffraction stick pattern
Compound: Mn6OF11
Radiation: Cu Kα (weighted mean of Kα1 and Kα2)
Structure: a cell relaxed with GGA+U
Intensities are scaled so that the largest is 100.

Main lines, sorted by position (2θ from 10° to 90°):
d (Å)  I_rel
3.046  90
2.999  86
1.872  26
1.851  100
1.829  24
1.588  23
1.582  10
1.576  10
1.568  22
1.309  18

Atomic structure:
Cell: 5.234 5.234 15.713 Å, 90.00 90.00 91.34°
Positions (direct):
Mn1 0.000 0.000 0.000
Mn2 0.000 0.000 0.320
Mn3 0.000 0.000 0.656
Mn4 0.000 0.500 0.149
Mn5 0.000 0.500 0.487
Mn6 0.000 0.500 0.823
Mn7 0.500 0.000 0.149
Mn8 0.500 0.000 0.487
Mn9 0.500 0.000 0.823
Mn10 0.500 0.500 0.319
Mn11 0.500 0.500 0.655
Mn12 0.500 0.500 0.984
O1 0.195 0.805 0.075
O2 0.805 0.195 0.075
F1 0.228 0.228 0.911
F2 0.233 0.233 0.238
F3 0.237 0.763 0.403
F4 0.237 0.763 0.738
F5 0.238 0.238 0.574
F6 0.262 0.738 0.571
F7 0.264 0.264 0.407
F8 0.264 0.264 0.744
F9 0.265 0.735 0.904
F10 0.269 0.731 0.235
F11 0.300 0.300 0.078
F12 0.700 0.700 0.078
F13 0.731 0.269 0.235
F14 0.735 0.265 0.904
F15 0.736 0.736 0.407
F16 0.736 0.736 0.744
F17 0.738 0.262 0.571
F18 0.762 0.762 0.574
F19 0.763 0.237 0.403
F20 0.763 0.237 0.738
F21 0.767 0.767 0.238
F22 0.772 0.772 0.911

=====

Record 5
Simulated X-ray diffraction stick pattern
Compound: Mn6O7F5
Radiation: Cu Kα (weighted mean of Kα1 and Kα2)
Structure: a cell relaxed with GGA+U
Intensities are scaled so that the largest is 100.

Main lines, sorted by position (2θ from 10° to 90°):
d (Å)  I_rel
3.312  90
3.249  89
2.585  100
2.268  17
2.248  17
1.736  41
1.717  26
1.556  18
1.387  19
1.382  18

Atomic structure:
Cell: 4.630 5.598 7.764 Å, 87.07 89.41 89.04°
Positions (direct):
Mn1 0.000 0.000 0.000
Mn2 0.007 0.667 0.331
Mn3 0.451 0.187 0.342
Mn4 0.477 0.513 0.990
Mn5 0.493 0.849 0.683
Mn6 0.950 0.324 0.655
O1 0.178 0.969 0.233
O2 0.286 0.130 0.575
O3 0.290 0.474 0.215
O4 0.296 0.807 0.899
O5 0.683 0.549 0.768
O6 0.789 0.039 0.776
O7 0.791 0.375 0.428
F1 0.171 0.311 0.886
F2 0.196 0.637 0.575
F3 0.681 0.211 0.093
F4 0.688 0.868 0.441
F5 0.780 0.709 0.100

=====

Record 6
Simulated X-ray diffraction stick pattern
Compound: Mn12O5F19
Radiation: Cu Kα (weighted mean of Kα1 and Kα2)
Structure: a cell relaxed with GGA+U
Intensities are scaled so that the largest is 100.

Main lines, sorted by position (2θ from 10° to 90°):
d (Å)  I_rel
3.781  46
3.695  46
3.085  100
3.045  45
3.029  49
2.667  19
2.292  21
1.796  24
1.790  24
1.782  19

Atomic structure:
Cell: 4.846 5.874 16.001 Å, 90.28 90.18 91.34°
Positions (direct):
Mn1 0.000 0.000 0.000
Mn2 0.001 0.695 0.507
Mn3 0.013 0.017 0.672
Mn4 0.026 0.686 0.159
Mn5 0.031 0.012 0.344
Mn6 0.050 0.664 0.829
Mn7 0.502 0.197 0.501
Mn8 0.504 0.525 0.336
Mn9 0.508 0.220 0.836
Mn10 0.518 0.207 0.169
Mn11 0.520 0.529 0.015
Mn12 0.523 0.504 0.665
O1 0.236 0.966 0.453
O2 0.310 0.481 0.116
O3 0.323 0.459 0.772
O4 0.717 0.467 0.557
O5 0.804 0.731 0.059
F1 0.236 0.740 0.271
F2 0.240 0.735 0.617
F3 0.255 0.977 0.109
F4 0.256 0.967 0.781
F5 0.257 0.463 0.445
F6 0.257 0.751 0.943
F7 0.284 0.239 0.611
F8 0.285 0.260 0.951
F9 0.286 0.238 0.282
F10 0.730 0.240 0.393
F11 0.743 0.483 0.902
F12 0.755 0.235 0.059
F13 0.761 0.250 0.728
F14 0.762 0.465 0.230
F15 0.764 0.966 0.562
F16 0.777 0.988 0.884
F17 0.786 0.745 0.394
F18 0.789 0.734 0.724
F19 0.798 0.968 0.227

=====

Record 7
Simulated X-ray diffraction stick pattern
Compound: Mn8O13F3
Radiation: Cu Kα (weighted mean of Kα1 and Kα2)
Structure: a cell relaxed with GGA+U
Intensities are scaled so that the largest is 100.

Main lines, sorted by position (2θ from 10° to 90°):
d (Å)  I_rel
3.509  60
3.466  57
2.883  49
2.862  49
2.849  100
2.500  24
2.421  23
2.413  21
1.678  25
1.666  23

Atomic structure:
Cell: 5.523 6.703 6.749 Å, 96.07 90.64 90.31°
Positions (direct):
Mn1 0.000 0.000 0.000
Mn2 0.004 0.489 0.493
Mn3 0.263 0.746 0.253
Mn4 0.318 0.233 0.750
Mn5 0.499 0.241 0.253
Mn6 0.504 0.741 0.752
Mn7 0.794 0.497 0.002
Mn8 0.813 0.991 0.512
O1 0.030 0.539 0.224
O2 0.031 0.948 0.281
O3 0.042 0.047 0.728
O4 0.249 0.791 0.974
O5 0.251 0.696 0.531
O6 0.261 0.199 0.029
O7 0.262 0.288 0.473
O8 0.534 0.464 0.805
O9 0.540 0.018 0.699
O10 0.756 0.780 0.955
O11 0.758 0.217 0.054
O12 0.762 0.709 0.550
O13 0.763 0.270 0.457
F1 0.042 0.448 0.773
F2 0.515 0.547 0.216
F3 0.527 0.939 0.298

=====

Record 8
Simulated X-ray diffraction stick pattern
Compound: Mn3O5F
Radiation: Cu Kα (weighted mean of Kα1 and Kα2)
Structure: a cell relaxed with GGA+U
Intensities are scaled so that the largest is 100.

Main lines, sorted by position (2θ from 10° to 90°):
d (Å)  I_rel
3.216  100
2.514  53
2.274  9
2.201  12
1.687  37
1.685  22
1.608  16
1.508  9
1.366  9
1.355  10

Atomic structure:
Cell: 5.449 5.462 7.109 Å, 72.60 72.61 72.18°
Positions (direct):
Mn1 0.000 0.000 0.000
Mn2 0.002 0.009 0.509
Mn3 0.347 0.347 0.658
Mn4 0.357 0.364 0.169
Mn5 0.681 0.673 0.829
Mn6 0.708 0.657 0.335
O1 0.039 0.649 0.668
O2 0.114 0.107 0.706
O3 0.318 0.708 0.995
O4 0.461 0.450 0.367
O5 0.582 0.576 0.624
O6 0.650 0.036 0.670
O7 0.706 0.317 0.998
O8 0.777 0.775 0.041
O9 0.916 0.904 0.296
O10 0.998 0.365 0.332
F1 0.241 0.235 0.972
F2 0.384 0.977 0.334

=====

Record 9
Simulated X-ray diffraction stick pattern
Compound: Mn3O4F2
Radiation: Cu Kα (weighted mean of Kα1 and Kα2)
Structure: a cell relaxed with GGA+U
Intensities are scaled so that the largest is 100.

Main lines, sorted by position (2θ from 10° to 90°):
d (Å)  I_rel
3.267  100
2.554  43
2.550  12
2.237  9
2.232  9
1.717  15
1.712  43
1.633  17
1.531  9
1.375  15

Atomic structure:
Cell: 4.627 4.613 10.273 Å, 90.00 116.56 90.00°
Positions (direct):
Mn1 0.000 0.000 0.000
Mn2 0.000 0.500 0.500
Mn3 0.310 0.020 0.340
Mn4 0.310 0.480 0.840
Mn5 0.690 0.520 0.160
Mn6 0.690 0.980 0.660
O1 0.020 0.177 0.830
O2 0.020 0.323 0.330
O3 0.309 0.692 0.001
O4 0.309 0.808 0.501
O5 0.691 0.192 0.499
O6 0.691 0.308 0.999
O7 0.980 0.677 0.670
O8 0.980 0.823 0.170
F1 0.382 0.221 0.179
F2 0.382 0.279 0.679
F3 0.618 0.721 0.321
F4 0.618 0.779 0.821